Starting from a structure optimized by DFT (GGA-PBE), the powder diffractogram of Li2TmCd5 was simulated for Cu Kα, 1.54184 Å.

Peak list (8 most intense, 2θ = 5–70°, by angle)
two_theta	d_spacing	I/Imax
11.39	7.771	24.0
29.54	3.024	42.3
34.63	2.590	14.7
35.81	2.507	100.0
38.80	2.321	43.9
52.98	1.728	17.4
56.04	1.641	14.6
68.31	1.373	28.7

Structural model:
a = 8.436 Å, b = 8.436 Å, c = 8.436 Å
α = 148.06°, β = 148.06°, γ = 45.80°
Atoms (fractional coordinates):
Li1 0.248 0.248 0.000
Li2 0.752 0.752 0.000
Tm1 0.000 0.000 0.000
Cd1 0.140 0.640 0.500
Cd2 0.360 0.860 0.500
Cd3 0.500 0.500 0.000
Cd4 0.640 0.140 0.500
Cd5 0.860 0.360 0.500

***

Starting from a structure optimized by DFT (GGA-PBE), the powder diffractogram of PaCl6F2 was simulated for Cu Kα, 1.54184 Å.

Peak list (8 most intense, 2θ = 5–70°, by angle)
two_theta	d_spacing	I/Imax
13.70	6.464	76.0
14.12	6.273	100.0
17.13	5.175	51.6
18.42	4.816	34.2
22.02	4.037	20.7
25.58	3.483	27.3
34.62	2.591	34.2
35.25	2.546	26.2

Structural model:
a = 6.969 Å, b = 8.269 Å, c = 10.379 Å
α = 90.00°, β = 111.95°, γ = 90.00°
Atoms (fractional coordinates):
Pa1 0.000 0.000 0.000
Pa2 0.000 0.500 0.500
Cl1 0.000 0.094 0.269
Cl2 0.000 0.406 0.769
Cl3 0.000 0.594 0.231
Cl4 0.000 0.906 0.731
Cl5 0.282 0.711 0.553
Cl6 0.282 0.789 0.053
Cl7 0.292 0.202 0.090
Cl8 0.292 0.298 0.590
Cl9 0.708 0.702 0.410
Cl10 0.708 0.798 0.910
Cl11 0.718 0.211 0.947
Cl12 0.718 0.289 0.447
F1 0.000 0.149 0.790
F2 0.000 0.351 0.290
F3 0.000 0.649 0.710
F4 0.000 0.851 0.210